No. 1
Diffraction record for TmBe2Ni6. The powder diffraction line list is simulated, not measured: it uses a cell relaxed with PBE and a wavelength of 1.5418 Å.

Cell and atoms:
a = 9.923 Å, b = 9.923 Å, c = 9.923 Å
α = 90.00°, β = 90.00°, γ = 90.00°
Space group Fd-3m (No. 227, origin choice 2)
Asymmetric unit:
Tm 0.125 0.125 0.125 (multiplicity 8)
Be 0.000 0.000 0.500 (multiplicity 16)
Ni 0.111 0.375 0.875 (multiplicity 48)

Peak list (10 most intense, 10° ≤ 2θ ≤ 80°, low angle first)
2θ/deg  I (rel.)
15.47  27.0
29.86  40.3
36.21  100.0
39.59  24.7
47.62  11.2
52.14  71.8
54.73  7.0
65.13  21.0
73.28  13.4
76.86  10.2


No. 2
Diffraction record for NpTl2AsS4. The powder diffraction line list is simulated, not measured: it uses a cell relaxed with PBE and a wavelength of 1.5418 Å.

Cell and atoms:
a = 8.286 Å, b = 8.320 Å, c = 11.698 Å
α = 90.00°, β = 90.00°, γ = 90.00°
Space group Imma (No. 74)
Asymmetric unit:
Np 0.000 0.000 0.000 (multiplicity 4)
Tl 0.000 0.000 0.500 (multiplicity 4)
Tl 0.250 0.250 0.250 (multiplicity 4)
As 0.250 0.250 0.750 (multiplicity 4)
S 0.000 0.043 0.765 (multiplicity 8)
S 0.217 0.250 0.977 (multiplicity 8)

Peak list (10 most intense, 10° ≤ 2θ ≤ 80°, low angle first)
2θ/deg  I (rel.)
26.33  100.0
30.45  70.8
30.57  35.0
43.51  12.7
43.69  63.8
51.59  19.0
51.74  27.7
54.11  13.0
54.27  13.3
72.01  16.2


No. 3
Diffraction record for Ag3AuS3. The powder diffraction line list is simulated, not measured: it uses a cell relaxed with PBE and a wavelength of 1.5418 Å.

Cell and atoms:
a = 11.1542 Å, b = 11.1542 Å, c = 4.3529 Å
α = 90.00°, β = 90.00°, γ = 120.00°
Space group R3m (No. 160, hexagonal axes)
Asymmetric unit:
Ag 0.1893 0.3786 0.0000 (multiplicity 9)
Au 0.0000 0.0000 0.5227 (multiplicity 3)
S 0.0844 0.5422 0.1746 (multiplicity 9)

Peak list (10 most intense, 10° ≤ 2θ ≤ 80°, low angle first)
2θ/deg  I (rel.)
15.89  16.6
22.40  67.3
27.59  95.7
32.10  100.0
39.50  25.6
42.85  36.3
45.72  22.3
45.95  57.0
48.71  25.8
54.51  25.4